For Na3LiMnBPO7, a crystal structure in Alexandria, relaxed with GGA+U gives the simulated powder diffraction line list in this record (Cu Kα, 1.54184 Å).

Atomic structure:
Lattice parameters (Å, degrees): 5.3285 6.3138 10.7723 89.80 83.33 89.99
Atoms (fractional coordinates):
Na 0.0000 0.0000 0.0000
Na 0.0043 0.4737 0.0402
Na 0.0631 0.6741 0.7870
Na 0.5208 0.1792 0.8245
Na 0.5805 0.9711 0.5716
Na 0.5842 0.4973 0.6091
Li 0.6194 0.5178 0.3546
Li 0.9649 0.0183 0.2553
Mn 0.1022 0.2405 0.4926
Mn 0.4821 0.7437 0.1176
B 0.0597 0.2406 0.7307
B 0.5246 0.7409 0.8794
P 0.1102 0.7235 0.3952
P 0.4741 0.2249 0.2148
O 0.0517 0.2619 0.8576
O 0.1457 0.7346 0.2490
O 0.2219 0.1976 0.1594
O 0.2923 0.2345 0.6530
O 0.2920 0.7380 0.9573
O 0.3626 0.6960 0.4504
O 0.4383 0.2340 0.3610
O 0.5329 0.7552 0.7522
O 0.6121 0.4376 0.1730
O 0.6574 0.0368 0.1722
O 0.7380 0.7394 0.9437
O 0.8462 0.2359 0.6667
O 0.9273 0.5346 0.4376
O 0.9717 0.9356 0.4371

Main lines, low angle first (2θ = 10–90°):
2θ (°), I (rel.)
16.3, 79
17.8, 64
22.2, 100
25.0, 88
26.4, 71
28.3, 89
33.0, 82
33.6, 75
33.6, 66
33.9, 70


For NpNi2AuO8, a crystal structure in Alexandria, relaxed with GGA+U gives the simulated powder diffraction line list in this record (Cu Kα, 1.54184 Å).

Atomic structure:
Lattice parameters (Å, degrees): 4.7256 6.3549 4.7568 90.00 92.66 90.00
Atoms (fractional coordinates):
Np 0.0000 0.0000 0.0000
Ni 0.5000 0.2601 0.5000
Ni 0.5000 0.7399 0.5000
Au 0.0000 0.5000 0.0000
O 0.2005 0.2534 0.8081
O 0.2005 0.7466 0.8081
O 0.2961 0.0000 0.3019
O 0.3018 0.5000 0.3124
O 0.6982 0.5000 0.6876
O 0.7039 0.0000 0.6981
O 0.7995 0.2534 0.1919
O 0.7995 0.7466 0.1919

Main lines, low angle first (2θ = 10–90°):
2θ (°), I (rel.)
18.7, 35
18.8, 34
26.0, 62
27.2, 55
34.0, 100
38.6, 23
51.1, 21
51.2, 21
52.5, 19
52.7, 19